No. 1
Diffraction record for TlZnInNiAsPt. The PXRD pattern is computed, not measured: it uses DFT lattice parameters and positions (PBE) and Cu Kα X-rays.
Peak positions follow from Bragg's law for the DFT cell and can differ from measured ones.

Principal peaks in the range 10° ≤ 2θ ≤ 80°, most intense first:
- 2.743 Å, intensity 100
- 3.308 Å, intensity 96
- 2.074 Å, intensity 85
- 2.224 Å, intensity 63
- 1.654 Å, intensity 22
- 8.499 Å, intensity 22
- 1.293 Å, intensity 19
- 1.517 Å, intensity 19

Cell and atoms:
```
TlZnInNiAsPt
1.0
4.147 0.000 0.000
-2.074 3.591 0.000
0.000 0.000 8.499
Tl Zn In Ni As Pt
1 1 1 1 1 1
Direct
0.000 0.000 0.000 Tl
0.000 0.000 0.561 Zn
0.667 0.333 0.292 In
0.667 0.333 0.680 Ni
0.333 0.667 0.745 As
0.333 0.667 0.445 Pt
```

---

No. 2
Diffraction record for TlZnInNiAsPt. The PXRD pattern is computed, not measured: it uses DFT lattice parameters and positions (PBE) and Cu Kα X-rays.
Peak positions follow from Bragg's law for the DFT cell and can differ from measured ones.

Principal peaks in the range 10° ≤ 2θ ≤ 80°, most intense first:
- 3.125 Å, intensity 100
- 2.564 Å, intensity 73
- 2.090 Å, intensity 57
- 3.449 Å, intensity 42
- 2.070 Å, intensity 37
- 2.063 Å, intensity 37
- 2.056 Å, intensity 36
- 8.589 Å, intensity 32

Cell and atoms:
```
TlZnInNiAsPt
1.0
4.112 0.000 0.000
-2.043 3.585 0.000
-2.046 -1.208 8.589
Tl Zn In Ni As Pt
1 1 1 1 1 1
Direct
0.000 0.000 0.000 Tl
0.369 0.177 0.550 Zn
0.523 0.756 0.280 In
0.774 0.879 0.659 Ni
0.160 0.571 0.737 As
0.961 0.474 0.438 Pt
```

---

No. 3
Diffraction record for TlZnInNiAsPt. The PXRD pattern is computed, not measured: it uses DFT lattice parameters and positions (PBE) and Cu Kα X-rays.
Peak positions follow from Bragg's law for the DFT cell and can differ from measured ones.

Principal peaks in the range 10° ≤ 2θ ≤ 80°, most intense first:
- 2.661 Å, intensity 100
- 2.203 Å, intensity 68
- 2.738 Å, intensity 54
- 4.762 Å, intensity 51
- 2.053 Å, intensity 46
- 2.427 Å, intensity 42
- 2.332 Å, intensity 40
- 2.381 Å, intensity 39

Cell and atoms:
```
TlZnInNiAsPt
1.0
3.454 0.000 0.000
1.717 4.782 0.000
1.716 0.666 7.280
Tl Zn In Ni As Pt
1 1 1 1 1 1
Direct
0.000 0.000 0.000 Tl
0.779 0.871 0.574 Zn
0.594 0.477 0.335 In
0.046 0.284 0.631 Ni
0.365 0.498 0.781 As
0.325 0.038 0.313 Pt
```

---

No. 4
Diffraction record for TlZnInNiAsPt. The PXRD pattern is computed, not measured: it uses DFT lattice parameters and positions (PBE) and Cu Kα X-rays.
Peak positions follow from Bragg's law for the DFT cell and can differ from measured ones.

Principal peaks in the range 10° ≤ 2θ ≤ 80°, most intense first:
- 2.237 Å, intensity 100
- 2.659 Å, intensity 86
- 2.531 Å, intensity 72
- 1.915 Å, intensity 70
- 2.106 Å, intensity 57
- 2.952 Å, intensity 51
- 2.759 Å, intensity 51
- 8.278 Å, intensity 46

Cell and atoms:
```
TlZnInNiAsPt
1.0
3.428 0.000 0.000
0.000 4.213 0.000
0.000 0.000 8.278
Tl Zn In Ni As Pt
1 1 1 1 1 1
Direct
0.000 0.000 0.000 Tl
0.500 0.000 0.596 Zn
0.500 0.500 0.315 In
0.000 0.500 0.592 Ni
0.500 0.500 0.790 As
0.000 0.000 0.354 Pt
```

---

No. 5
Diffraction record for TlZnInNiAsPt. The PXRD pattern is computed, not measured: it uses DFT lattice parameters and positions (PBE) and Cu Kα X-rays.
Peak positions follow from Bragg's law for the DFT cell and can differ from measured ones.

Principal peaks in the range 10° ≤ 2θ ≤ 80°, most intense first:
- 2.212 Å, intensity 100
- 2.782 Å, intensity 81
- 2.460 Å, intensity 72
- 3.918 Å, intensity 36
- 2.468 Å, intensity 36
- 2.704 Å, intensity 34
- 2.392 Å, intensity 25
- 1.886 Å, intensity 24

Cell and atoms:
```
TlZnInNiAsPt
1.0
3.098 0.000 0.000
0.000 3.161 0.000
-0.379 0.000 11.754
Tl Zn In Ni As Pt
1 1 1 1 1 1
Direct
0.000 0.000 0.000 Tl
0.356 0.500 0.483 Zn
0.395 0.500 0.766 In
0.842 0.000 0.352 Ni
0.330 0.500 0.255 As
0.871 0.000 0.608 Pt
```

---

No. 6
Diffraction record for InAsPbO5. The PXRD pattern is computed, not measured: it uses DFT lattice parameters and positions (PBE) and Cu Kα X-rays.
Peak positions follow from Bragg's law for the DFT cell and can differ from measured ones.

Principal peaks in the range 10° ≤ 2θ ≤ 80°, most intense first:
- 2.926 Å, intensity 100
- 3.301 Å, intensity 81
- 3.448 Å, intensity 63
- 2.795 Å, intensity 60
- 2.593 Å, intensity 32
- 5.186 Å, intensity 29
- 1.824 Å, intensity 29
- 1.854 Å, intensity 24

Cell and atoms:
```
InAsPbO5
1.0
3.600 -4.896 0.000
3.600 4.896 0.000
-2.965 0.000 6.810
In As Pb O
2 2 2 10
Direct
0.000 0.000 0.000 In
0.000 0.000 0.500 In
0.320 0.680 0.750 As
0.680 0.320 0.250 As
0.317 0.683 0.250 Pb
0.683 0.317 0.750 Pb
0.085 0.915 0.250 O
0.110 0.676 0.877 O
0.244 0.403 0.575 O
0.324 0.890 0.623 O
0.403 0.244 0.075 O
0.597 0.756 0.925 O
0.676 0.110 0.377 O
0.756 0.597 0.425 O
0.890 0.324 0.123 O
0.915 0.085 0.750 O
```

---

No. 7
Diffraction record for In2AsPRu. The PXRD pattern is computed, not measured: it uses DFT lattice parameters and positions (PBE) and Cu Kα X-rays.
Peak positions follow from Bragg's law for the DFT cell and can differ from measured ones.

Principal peaks in the range 10° ≤ 2θ ≤ 80°, most intense first:
- 2.884 Å, intensity 100
- 2.631 Å, intensity 91
- 5.261 Å, intensity 58
- 1.724 Å, intensity 57
- 2.282 Å, intensity 49
- 1.860 Å, intensity 32
- 1.563 Å, intensity 30
- 4.567 Å, intensity 28

Cell and atoms:
```
In2AsPRu
1.0
5.261 0.000 0.000
0.000 5.261 0.000
0.000 0.000 4.567
In As P Ru
2 1 1 1
Direct
0.000 0.500 0.000 In
0.500 0.000 0.000 In
0.000 0.000 0.000 As
0.500 0.500 0.500 P
0.000 0.000 0.500 Ru
```

---

No. 8
Diffraction record for In4As2PS. The PXRD pattern is computed, not measured: it uses DFT lattice parameters and positions (PBE) and Cu Kα X-rays.
Peak positions follow from Bragg's law for the DFT cell and can differ from measured ones.

Principal peaks in the range 10° ≤ 2θ ≤ 80°, most intense first:
- 3.554 Å, intensity 100
- 2.172 Å, intensity 45
- 1.862 Å, intensity 31
- 2.185 Å, intensity 23
- 1.845 Å, intensity 15
- 1.259 Å, intensity 15
- 1.410 Å, intensity 12
- 3.090 Å, intensity 8

Cell and atoms:
```
In4As2PS
1.0
0.000 4.373 6.106
4.368 0.000 6.106
4.368 4.373 0.000
In As P S
4 2 1 1
Direct
0.001 0.489 0.999 In
0.244 0.756 0.244 In
0.489 0.001 0.511 In
0.756 0.244 0.756 In
0.372 0.372 0.128 As
0.872 0.872 0.628 As
0.122 0.122 0.878 P
0.622 0.622 0.378 S
```